Rb6ZnCoO5: theoretical powder X-ray diffraction pattern (λ = 1.5418 Å (Cu Kα)), based on DFT lattice parameters and positions (GGA+U).

Main lines, sorted by position (15 to 90 degrees two-theta):
25.8 deg, I 14
29.2 deg, I 12
29.4 deg, I 84
30.1 deg, I 100
32.8 deg, I 14
35.6 deg, I 17
37.5 deg, I 38
40.6 deg, I 11
48.0 deg, I 16
48.8 deg, I 12

Structural model:
```
13
Lattice="3.535 -5.940 0.000 3.535 5.940 0.000 -0.342 0.000 6.849" Properties=species:S:1:pos:R:3 pbc="T T T"
Rb 0.000 0.000 0.000
Rb 1.903 0.000 4.307
Rb 4.552 2.806 2.189
Rb 4.381 2.502 5.631
Rb 4.381 -2.502 5.631
Rb 4.552 -2.806 2.189
Zn 5.927 0.000 3.362
Co 3.156 0.000 0.806
O 3.050 4.312 4.093
O 2.492 1.627 0.344
O 2.492 -1.627 0.344
O 4.848 0.000 1.758
O 3.050 -4.312 4.093
```